Starting from the PBE geometry in the Materials Project, the PXRD pattern of Cr8Fe3CuS16 was computed for a wavelength of 1.5418 Å.

Peak list (10 most intense, 10° ≤ 2θ ≤ 80°, low angle first)
- (1 1 0), 25.87°, I 32
- (2 0 2), 30.43°, I 100
- (2 0 8), 36.91°, I 49
- (1 2 8), 45.61°, I 9
- (2 1 10), 48.55°, I 26
- (3 0 6), 48.59°, I 13
- (2 2 0), 53.19°, I 88
- (0 4 2), 62.55°, I 8
- (1 4 6), 74.92°, I 8
- (4 0 16), 78.55°, I 13

Structure:
```
data_Cr8Fe3CuS16
_chemical_formula_sum 'Cr24 Fe9 Cu3 S48'
_cell_length_a 6.8831
_cell_length_b 6.8831
_cell_length_c 33.8017
_cell_angle_alpha 90.00
_cell_angle_beta 90.00
_cell_angle_gamma 120.00
_symmetry_space_group_name_H-M 'R 3 m'
_symmetry_Int_Tables_number 160
_symmetry_space_group_name_Hall 'R 3 -2"'
loop_
_atom_site_label
_atom_site_fract_x
_atom_site_fract_y
_atom_site_fract_z
_atom_site_occupancy
Cr1 0.0000 0.0000 0.0000 1
Cr2 0.0000 0.0000 0.4998 1
Cr3 0.0007 0.5004 0.2498 1
Cr4 0.0023 0.5011 0.7501 1
Fe1 0.0000 0.0000 0.1876 1
Fe2 0.0000 0.0000 0.6871 1
Fe3 0.0000 0.0000 0.8119 1
Cu1 0.0000 0.0000 0.3126 1
S1 0.0000 0.0000 0.1236 1
S2 0.0000 0.0000 0.3792 1
S3 0.0000 0.0000 0.6233 1
S4 0.0000 0.0000 0.8756 1
S5 0.0085 0.5042 0.1248 1
S6 0.0208 0.5104 0.6234 1
S7 0.1706 0.3413 0.2088 1
S8 0.1705 0.3410 0.7088 1
```



Starting from the PBE geometry in the Materials Project, the PXRD pattern of Ta2InS4 was computed for a wavelength of 1.5418 Å.

Peak list (10 most intense, 10° ≤ 2θ ≤ 80°, low angle first)
- (0 2 0), 11.04°, I 100
- (0 4 0), 22.18°, I 33
- (1 0 1), 30.63°, I 40
- (0 0 2), 30.77°, I 19
- (1 2 1), 32.65°, I 18
- (1 4 1), 38.14°, I 70
- (0 4 2), 38.25°, I 35
- (1 6 1), 46.08°, I 21
- (1 0 3), 54.62°, I 16
- (1 8 1), 55.66°, I 30

Structure:
```
data_Ta2InS4
_chemical_formula_sum 'Ta4 In2 S8'
_cell_length_a 3.375
_cell_length_b 16.035
_cell_length_c 5.812
_cell_angle_alpha 90.00
_cell_angle_beta 90.00
_cell_angle_gamma 90.00
_symmetry_space_group_name_H-M 'I m m 2'
_symmetry_Int_Tables_number 44
_symmetry_space_group_name_Hall 'I 2 -2'
loop_
_atom_site_label
_atom_site_fract_x
_atom_site_fract_y
_atom_site_fract_z
_atom_site_occupancy
Ta1 0.000 0.249 0.000 1
In1 0.000 0.500 0.994 1
S1 0.000 0.153 0.668 1
S2 0.000 0.348 0.668 1
```